Record 1
Calculated PXRD pattern
Compound: Ac2Zn12Au5
Radiation: Cu Kα
Structure: a crystal structure in Alexandria, relaxed with PBE
No peak broadening, texture or thermal motion is included.

Top 10 peaks for 5 to 70 degrees two-theta, low angle first:
d [Å]  2θ/deg  I_rel  hkl
7.039  12.58  34  1 0 1
3.296  27.05  32  1 1 3
3.179  28.07  30  1 0 4
2.728  32.83  35  3 0 0
2.362  38.09  100  2 2 0
2.346  38.36  64  0 3 3
2.302  39.13  68  0 0 6
2.288  39.38  43  2 0 5
2.101  43.04  39  2 2 3
1.648  55.77  38  2 2 6

Structural model:
a = 9.4495 Å, b = 9.4495 Å, c = 13.8002 Å
α = 90.00°, β = 90.00°, γ = 120.00°
Space group R-3m (No. 166, hexagonal axes)
Unique sites:
Ac1 0.0000 0.0000 0.1617 x6
Zn1 0.0000 0.2873 0.5000 x18
Zn2 0.0080 0.5040 0.6582 x18
Au1 0.0000 0.0000 0.3967 x6
Au2 0.0000 0.5000 0.0000 x9

***

Record 2
Calculated PXRD pattern
Compound: Ac2Zn2Au15
Radiation: Cu Kα
Structure: a crystal structure in Alexandria, relaxed with PBE
No peak broadening, texture or thermal motion is included.

Top 10 peaks for 5 to 70 degrees two-theta, low angle first:
d [Å]  2θ/deg  I_rel  hkl
4.833  18.36  13  1 1 0
2.790  32.08  11  3 0 0
2.744  32.63  10  0 2 4
2.419  37.17  100  0 0 6
2.387  37.68  11  2 0 5
2.163  41.76  40  2 2 3
1.710  53.58  11  2 2 6
1.529  60.57  10  3 3 3
1.398  66.94  10  0 3 9
1.395  67.08  11  6 0 0

Structural model:
a = 9.6663 Å, b = 9.6663 Å, c = 14.5359 Å
α = 90.00°, β = 90.00°, γ = 120.00°
Space group R-3m (No. 166, hexagonal axes)
Unique sites:
Ac1 0.0000 0.0000 0.1577 x6
Zn1 0.0000 0.0000 0.4021 x6
Au1 0.0000 0.3008 0.5000 x18
Au2 0.0000 0.5000 0.0000 x9
Au3 0.0067 0.5034 0.6492 x18

***

Record 3
Calculated PXRD pattern
Compound: Ac3Zn3Au
Radiation: Cu Kα
Structure: a crystal structure in Alexandria, relaxed with PBE
No peak broadening, texture or thermal motion is included.

Top 10 peaks for 5 to 70 degrees two-theta, low angle first:
d [Å]  2θ/deg  I_rel  hkl
3.893  22.84  33  0 1 3
2.946  30.34  100  1 1 2
2.914  30.68  58  1 0 5
2.648  33.85  19  1 1 4
2.521  35.61  37  0 1 7
2.346  38.37  28  0 2 0
2.030  44.64  18  2 0 0
1.827  49.91  31  1 2 5
1.581  58.36  18  2 1 7
1.535  60.30  15  2 2 0

Structural model:
a = 4.060 Å, b = 4.691 Å, c = 20.929 Å
α = 90.00°, β = 90.00°, γ = 90.00°
Space group Imm2 (No. 44)
Unique sites:
Ac1 0.000 0.000 0.000 x2
Ac2 0.000 0.000 0.376 x2
Ac3 0.000 0.500 0.191 x2
Zn1 0.000 0.000 0.556 x2
Zn2 0.000 0.000 0.827 x2
Zn3 0.000 0.500 0.622 x2
Au1 0.000 0.500 0.752 x2

***

Record 4
Calculated PXRD pattern
Compound: Ac2Zn5Au
Radiation: Cu Kα
Structure: a crystal structure in Alexandria, relaxed with PBE
No peak broadening, texture or thermal motion is included.

Top 10 peaks for 5 to 70 degrees two-theta, low angle first:
d [Å]  2θ/deg  I_rel  hkl
3.323  26.83  19  1 3 1
3.196  27.91  43  1 1 2
2.828  31.64  100  1 3 2
2.738  32.71  75  1 5 0
2.537  35.37  23  1 1 3
2.439  36.85  21  0 6 2
2.333  38.60  22  0 0 4
2.269  39.72  39  2 0 0
2.105  42.96  20  0 6 3
1.950  46.58  20  0 8 2

Structural model:
a = 4.539 Å, b = 17.167 Å, c = 9.331 Å
α = 90.00°, β = 90.00°, γ = 90.00°
Space group Cmcm (No. 63)
Unique sites:
Ac1 0.000 0.000 0.000 x4
Ac2 0.000 0.201 0.250 x4
Zn1 0.000 0.184 0.611 x8
Zn2 0.000 0.345 0.513 x8
Zn3 0.000 0.400 0.250 x4
Au1 0.000 0.444 0.750 x4